This entry pairs a crystal structure of Ga6HgPb2 with its calculated X-ray powder pattern. Radiation: copper Kα. Structure: a crystal structure in Alexandria, relaxed with GGA-PBE.
No peak broadening, texture or thermal motion is included.

Principal peaks in the range 5° ≤ 2θ ≤ 70°, sorted by position:
hkl 1 1 -1, 4.019 Å, 22.12°, intensity 265; hkl 3 1 0, 3.267 Å, 27.30°, intensity 887; hkl 3 1 -1, 2.958 Å, 30.21°, intensity 783; hkl 3 1 1, 2.792 Å, 32.06°, intensity 452; hkl 4 0 -1, 2.749 Å, 32.57°, intensity 511; hkl 1 1 -2, 2.651 Å, 33.82°, intensity 1000; hkl 0 2 1, 2.620 Å, 34.23°, intensity 588; hkl 2 0 2, 2.598 Å, 34.53°, intensity 562; hkl 4 0 1, 2.571 Å, 34.90°, intensity 292; hkl 2 2 1, 2.364 Å, 38.06°, intensity 712; hkl 4 2 -2, 1.757 Å, 52.05°, intensity 282; hkl 6 2 0, 1.633 Å, 56.32°, intensity 305

Atomic structure:
```
data_Ga6HgPb2
_chemical_formula_sum 'Ga12 Hg2 Pb4'
_cell_length_a 11.885
_cell_length_b 5.818
_cell_length_c 6.042
_cell_angle_alpha 90.00
_cell_angle_beta 94.77
_cell_angle_gamma 90.00
_space_group_name_H-M_alt 'C 1 2/m 1'
_space_group_IT_number 12
_space_group_name_Hall '-C 2y'
loop_
_atom_site_label
_atom_site_type_symbol
_atom_site_fract_x
_atom_site_fract_y
_atom_site_fract_z
Ga1 Ga 0.082 0.239 0.365
Ga2 Ga 0.219 0.500 0.650
Hg1 Hg 0.000 0.500 0.000
Pb1 Pb 0.172 0.000 0.861
```

---

This entry pairs a crystal structure of CeCd5 with its calculated X-ray powder pattern. Radiation: copper Kα. Structure: a crystal structure in Alexandria, relaxed with GGA-PBE.
No peak broadening, texture or thermal motion is included.

Principal peaks in the range 5° ≤ 2θ ≤ 70°, sorted by position:
hkl 0 0 5, 3.176 Å, 28.10°, intensity 16; hkl 1 0 0, 2.738 Å, 32.71°, intensity 239; hkl 0 0 6, 2.646 Å, 33.87°, intensity 265; hkl 1 0 2, 2.588 Å, 34.66°, intensity 11; hkl 1 0 3, 2.432 Å, 36.96°, intensity 1000; hkl 1 0 6, 1.903 Å, 47.80°, intensity 149; hkl 1 0 8, 1.607 Å, 57.33°, intensity 19; hkl 1 1 0, 1.581 Å, 58.38°, intensity 172; hkl 1 0 9, 1.483 Å, 62.64°, intensity 172; hkl 1 0 10, 1.374 Å, 68.28°, intensity 15; hkl 2 0 0, 1.369 Å, 68.54°, intensity 26; hkl 1 1 6, 1.357 Å, 69.23°, intensity 187

Atomic structure:
```
data_CeCd5
_chemical_formula_sum 'Ce1 Cd5'
_cell_length_a 3.1616
_cell_length_b 3.1616
_cell_length_c 15.8788
_cell_angle_alpha 90.00
_cell_angle_beta 90.00
_cell_angle_gamma 120.00
_space_group_name_H-M_alt 'P -6 m 2'
_space_group_IT_number 187
_space_group_name_Hall 'P -6 2'
loop_
_atom_site_label
_atom_site_type_symbol
_atom_site_fract_x
_atom_site_fract_y
_atom_site_fract_z
Ce1 Ce 0.0000 0.0000 0.0000
Cd1 Cd 0.0000 0.0000 0.3396
Cd2 Cd 0.6667 0.3333 0.1787
Cd3 Cd 0.6667 0.3333 0.5000
```

---

This entry pairs a crystal structure of LaPm2Nd7 with its calculated X-ray powder pattern. Radiation: copper Kα. Structure: a crystal structure in Alexandria, relaxed with GGA-PBE.
No peak broadening, texture or thermal motion is included.

Principal peaks in the range 5° ≤ 2θ ≤ 70°, sorted by position:
hkl 2 0 0, 3.010 Å, 29.68°, intensity 1000; hkl 1 1 -2, 2.609 Å, 34.38°, intensity 339; hkl 2 1 3, 2.602 Å, 34.46°, intensity 168; hkl -2 1 3, 1.845 Å, 49.39°, intensity 61; hkl 3 2 1, 1.843 Å, 49.47°, intensity 303; hkl 0 4 2, 1.573 Å, 58.71°, intensity 290; hkl 4 1 3, 1.570 Å, 58.82°, intensity 144; hkl 4 0 0, 1.505 Å, 61.63°, intensity 125

Atomic structure:
```
data_LaPm2Nd7
_chemical_formula_sum 'La1 Pm2 Nd7'
_cell_length_a 6.379
_cell_length_b 6.388
_cell_length_c 9.748
_cell_angle_alpha 70.89
_cell_angle_beta 71.04
_cell_angle_gamma 80.51
_space_group_name_H-M_alt 'P -1'
_space_group_IT_number 2
_space_group_name_Hall '-P 1'
loop_
_atom_site_label
_atom_site_type_symbol
_atom_site_fract_x
_atom_site_fract_y
_atom_site_fract_z
La1 La 0.000 0.000 0.000
Pm1 Pm 0.001 0.201 0.599
Nd1 Nd 0.001 0.601 0.798
Nd2 Nd 0.498 0.099 0.301
Nd3 Nd 0.499 0.699 0.101
Nd4 Nd 0.500 0.500 0.500
```

---

This entry pairs a crystal structure of Dy3MgC with its calculated X-ray powder pattern. Radiation: copper Kα. Structure: a crystal structure in Alexandria, relaxed with GGA-PBE.
No peak broadening, texture or thermal motion is included.

Principal peaks in the range 5° ≤ 2θ ≤ 70°, sorted by position:
hkl 1 0 0, 4.976 Å, 17.82°, intensity 255; hkl 1 1 0, 3.519 Å, 25.31°, intensity 153; hkl 1 1 1, 2.873 Å, 31.13°, intensity 1000; hkl 2 0 0, 2.488 Å, 36.10°, intensity 551; hkl 2 1 0, 2.226 Å, 40.53°, intensity 125; hkl 2 1 1, 2.032 Å, 44.60°, intensity 72; hkl 2 2 0, 1.759 Å, 51.97°, intensity 387; hkl 3 0 0, 1.659 Å, 55.39°, intensity 62; hkl 3 1 0, 1.574 Å, 58.67°, intensity 33; hkl 3 1 1, 1.500 Å, 61.83°, intensity 430; hkl 2 2 2, 1.437 Å, 64.91°, intensity 132; hkl 3 2 0, 1.380 Å, 67.91°, intensity 27

Atomic structure:
```
data_Dy3MgC
_chemical_formula_sum 'Dy3 Mg1 C1'
_cell_length_a 4.976
_cell_length_b 4.976
_cell_length_c 4.976
_cell_angle_alpha 90.00
_cell_angle_beta 90.00
_cell_angle_gamma 90.00
_space_group_name_H-M_alt 'P m -3 m'
_space_group_IT_number 221
_space_group_name_Hall '-P 4 2 3'
loop_
_atom_site_label
_atom_site_type_symbol
_atom_site_fract_x
_atom_site_fract_y
_atom_site_fract_z
Dy1 Dy 0.000 0.000 0.500
Mg1 Mg 0.500 0.500 0.500
C1 C 0.000 0.000 0.000
```

---

This entry pairs a crystal structure of La3Ga6Ru5 with its calculated X-ray powder pattern. Radiation: copper Kα. Structure: a crystal structure in Alexandria, relaxed with GGA-PBE.
No peak broadening, texture or thermal motion is included.

Principal peaks in the range 5° ≤ 2θ ≤ 70°, sorted by position:
hkl 1 3 0, 2.977 Å, 30.02°, intensity 213; hkl 0 4 2, 2.690 Å, 33.31°, intensity 142; hkl 0 3 3, 2.612 Å, 34.34°, intensity 254; hkl 1 0 3, 2.583 Å, 34.74°, intensity 331; hkl 1 3 2, 2.551 Å, 35.18°, intensity 1000; hkl 1 2 3, 2.395 Å, 37.55°, intensity 194; hkl 0 6 0, 2.136 Å, 42.31°, intensity 203; hkl 1 0 4, 2.128 Å, 42.48°, intensity 113; hkl 1 1 4, 2.097 Å, 43.14°, intensity 133; hkl 2 0 0, 2.075 Å, 43.63°, intensity 387; hkl 2 3 3, 1.624 Å, 56.66°, intensity 119; hkl 2 6 0, 1.488 Å, 62.40°, intensity 125

Atomic structure:
```
data_La3Ga6Ru5
_chemical_formula_sum 'La6 Ga12 Ru10'
_cell_length_a 4.149
_cell_length_b 12.817
_cell_length_c 9.899
_cell_angle_alpha 90.00
_cell_angle_beta 90.00
_cell_angle_gamma 90.00
_space_group_name_H-M_alt 'P m m n'
_space_group_IT_number 59
loop_
_space_group_symop_operation_xyz
'x,y,z'
'-x,-y,-z'
'-x+1/2,-y+1/2,z'
'x+1/2,y+1/2,-z'
'x+1/2,-y,-z'
'-x+1/2,y,z'
'-x,y+1/2,-z'
'x,-y+1/2,z'
loop_
_atom_site_label
_atom_site_type_symbol
_atom_site_fract_x
_atom_site_fract_y
_atom_site_fract_z
La1 La 0.250 0.062 0.247
La2 La 0.250 0.750 0.261
Ga1 Ga 0.250 0.073 0.598
Ga2 Ga 0.250 0.250 0.039
Ga3 Ga 0.250 0.250 0.435
Ga4 Ga 0.250 0.596 0.981
Ru1 Ru 0.250 0.097 0.867
Ru2 Ru 0.250 0.635 0.535
Ru3 Ru 0.250 0.750 0.786
```

---

This entry pairs a crystal structure of Pr2NdYS4 with its calculated X-ray powder pattern. Radiation: copper Kα. Structure: a crystal structure in Alexandria, relaxed with GGA-PBE.
No peak broadening, texture or thermal motion is included.

Principal peaks in the range 5° ≤ 2θ ≤ 70°, sorted by position:
hkl 0 0 2, 3.342 Å, 26.67°, intensity 172; hkl 2 0 0, 3.323 Å, 26.83°, intensity 169; hkl 1 1 -1, 3.283 Å, 27.16°, intensity 326; hkl 1 1 1, 2.864 Å, 31.23°, intensity 1000; hkl 2 0 2, 2.048 Å, 44.22°, intensity 123; hkl 1 1 -3, 2.030 Å, 44.64°, intensity 240; hkl 3 1 -1, 2.022 Å, 44.84°, intensity 238; hkl 0 2 0, 2.002 Å, 45.29°, intensity 116; hkl 2 0 -4, 1.735 Å, 52.75°, intensity 86; hkl 0 2 2, 1.716 Å, 53.38°, intensity 108; hkl 2 2 -2, 1.641 Å, 56.03°, intensity 121; hkl 2 2 2, 1.432 Å, 65.13°, intensity 114

Atomic structure:
```
data_Pr2NdYS4
_chemical_formula_sum 'Pr2 Nd1 Y1 S4'
_cell_length_a 7.026
_cell_length_b 4.004
_cell_length_c 7.066
_cell_angle_alpha 90.00
_cell_angle_beta 108.90
_cell_angle_gamma 90.00
_space_group_name_H-M_alt 'P 1 2/m 1'
_space_group_IT_number 10
_space_group_name_Hall '-P 2y'
loop_
_atom_site_label
_atom_site_type_symbol
_atom_site_fract_x
_atom_site_fract_y
_atom_site_fract_z
Pr1 Pr 0.000 0.000 0.000
Pr2 Pr 0.500 0.500 0.000
Nd1 Nd 0.000 0.500 0.500
Y1 Y 0.500 0.000 0.500
S1 S 0.254 0.000 0.742
S2 S 0.261 0.500 0.264
```

---

Copy entry 4 word for word.
This entry pairs a crystal structure of Dy3MgC with its calculated X-ray powder pattern. Radiation: copper Kα. Structure: a crystal structure in Alexandria, relaxed with GGA-PBE.
No peak broadening, texture or thermal motion is included.

Principal peaks in the range 5° ≤ 2θ ≤ 70°, sorted by position:
hkl 1 0 0, 4.976 Å, 17.82°, intensity 255; hkl 1 1 0, 3.519 Å, 25.31°, intensity 153; hkl 1 1 1, 2.873 Å, 31.13°, intensity 1000; hkl 2 0 0, 2.488 Å, 36.10°, intensity 551; hkl 2 1 0, 2.226 Å, 40.53°, intensity 125; hkl 2 1 1, 2.032 Å, 44.60°, intensity 72; hkl 2 2 0, 1.759 Å, 51.97°, intensity 387; hkl 3 0 0, 1.659 Å, 55.39°, intensity 62; hkl 3 1 0, 1.574 Å, 58.67°, intensity 33; hkl 3 1 1, 1.500 Å, 61.83°, intensity 430; hkl 2 2 2, 1.437 Å, 64.91°, intensity 132; hkl 3 2 0, 1.380 Å, 67.91°, intensity 27

Atomic structure:
```
data_Dy3MgC
_chemical_formula_sum 'Dy3 Mg1 C1'
_cell_length_a 4.976
_cell_length_b 4.976
_cell_length_c 4.976
_cell_angle_alpha 90.00
_cell_angle_beta 90.00
_cell_angle_gamma 90.00
_space_group_name_H-M_alt 'P m -3 m'
_space_group_IT_number 221
_space_group_name_Hall '-P 4 2 3'
loop_
_atom_site_label
_atom_site_type_symbol
_atom_site_fract_x
_atom_site_fract_y
_atom_site_fract_z
Dy1 Dy 0.000 0.000 0.500
Mg1 Mg 0.500 0.500 0.500
C1 C 0.000 0.000 0.000
```